(1)
Diffraction record for AcZn9Ni2. The powder diffractogram is simulated, not measured: it uses DFT lattice parameters and positions (GGA-PBE) and Cu Kα (λ = 1.5418 Å).
Lines closer than 0.1° are merged.

The 12 most intense peaks (2θ = 10–80°), by intensity:
- 2.553 Å, I = 100
- 2.748 Å, I = 47
- 1.992 Å, I = 40
- 2.608 Å, I = 39
- 1.967 Å, I = 36
- 3.983 Å, I = 26
- 1.374 Å, I = 23
- 1.898 Å, I = 23
- 1.764 Å, I = 20
- 1.534 Å, I = 15
- 3.449 Å, I = 14
- 1.233 Å, I = 13

Atomic structure:
Cell lengths 7.9662, 7.9662, 3.7957 Å; angles 90.00, 90.00, 120.00 degrees
Fractional positions:
Ac: 0.0000 0.0000 0.0000
Zn: 0.0000 0.5000 0.0000
Zn: 0.2086 0.4173 0.5000
Zn: 0.2086 0.7914 0.5000
Zn: 0.4173 0.2086 0.5000
Zn: 0.5000 0.0000 0.0000
Zn: 0.5000 0.5000 0.0000
Zn: 0.5827 0.7914 0.5000
Zn: 0.7914 0.2086 0.5000
Zn: 0.7914 0.5827 0.5000
Ni: 0.3333 0.6667 0.0000
Ni: 0.6667 0.3333 0.0000

(2)
Diffraction record for Ac5In2N2. The powder diffractogram is simulated, not measured: it uses DFT lattice parameters and positions (GGA-PBE) and Cu Kα (λ = 1.5418 Å).
Lines closer than 0.1° are merged.

The 12 most intense peaks (2θ = 10–80°), by intensity:
- 3.044 Å, I = 100
- 3.081 Å, I = 95
- 2.660 Å, I = 77
- 3.514 Å, I = 50
- 2.932 Å, I = 50
- 1.873 Å, I = 41
- 2.636 Å, I = 41
- 3.573 Å, I = 31
- 1.595 Å, I = 30
- 3.745 Å, I = 28
- 1.611 Å, I = 26
- 2.579 Å, I = 25

Atomic structure:
Cell lengths 11.8091, 11.8091, 11.8091 Å; angles 53.57, 142.48, 143.20 degrees
Fractional positions:
Ac: 0.2350 0.4132 0.1088
Ac: 0.2350 0.6262 0.3218
Ac: 0.2468 0.0064 0.2532
Ac: 0.2468 0.4936 0.7404
Ac: 0.3043 0.1262 0.8912
Ac: 0.3043 0.9132 0.6782
Ac: 0.7438 0.6209 0.6228
Ac: 0.7532 0.5064 0.2596
Ac: 0.7532 0.9936 0.7468
Ac: 0.9981 0.1209 0.3772
In: 0.7353 0.1366 0.3811
In: 0.7353 0.8542 0.0987
In: 0.7555 0.3542 0.6189
In: 0.7555 0.6366 0.9013
N: 0.1275 0.9611 0.6664
N: 0.2587 0.2587 0.0000
N: 0.2587 0.7587 0.5000
N: 0.2947 0.4611 0.3336